# 1
Theoretical powder XRD pattern of B2P2O7 for Cu Kα, 1.54184 Å, from DFT lattice parameters and positions (PBE).
Intensities are scaled so that the largest is 100.

Structural model:
```
B2P2O7
1.0
3.128 -3.577 0.000
3.128 3.577 0.000
-0.105 0.000 13.661
B P O
4 4 14
Direct
0.050 0.201 0.310
0.070 0.070 0.123
0.799 0.950 0.690
0.930 0.930 0.877
0.152 0.421 0.967
0.546 0.123 0.417
0.579 0.848 0.033
0.877 0.454 0.583
0.009 0.323 0.065
0.034 0.673 0.925
0.139 0.130 0.220
0.156 0.182 0.892
0.252 0.247 0.384
0.327 0.966 0.075
0.476 0.524 0.000
0.627 0.373 0.500
0.677 0.991 0.935
0.753 0.748 0.616
0.763 0.231 0.673
0.769 0.237 0.327
0.818 0.844 0.108
0.870 0.861 0.780
```

Top 10 peaks for 15 to 90 degrees two-theta, in order of falling intensity:
19.9°, I = 100; 22.9°, I = 45; 25.7°, I = 36; 18.8°, I = 35; 27.3°, I = 21; 19.5°, I = 21; 31.6°, I = 17; 31.8°, I = 15; 40.6°, I = 12; 38.8°, I = 11

=====

# 2
Theoretical powder XRD pattern of BPPb4O8 for Cu Kα, 1.54184 Å, from DFT lattice parameters and positions (PBE).
Intensities are scaled so that the largest is 100.

Structural model:
```
BPPb4O8
1.0
10.344 0.000 0.000
0.000 7.176 0.000
-5.111 0.000 12.140
B P Pb O
4 4 16 32
Direct
0.038 0.242 0.357
0.038 0.258 0.857
0.962 0.742 0.143
0.962 0.758 0.643
0.399 0.749 0.604
0.399 0.751 0.104
0.601 0.249 0.896
0.601 0.251 0.396
0.048 0.693 0.425
0.048 0.807 0.925
0.259 0.503 0.792
0.259 0.997 0.292
0.272 0.007 0.766
0.272 0.493 0.266
0.362 0.227 0.064
0.362 0.273 0.564
0.638 0.727 0.436
0.638 0.773 0.936
0.728 0.507 0.734
0.728 0.993 0.234
0.741 0.003 0.708
0.741 0.497 0.208
0.952 0.193 0.075
0.952 0.307 0.575
0.026 0.625 0.600
0.026 0.875 0.100
0.037 0.605 0.215
0.037 0.895 0.715
0.183 0.249 0.885
0.183 0.251 0.385
0.207 0.224 0.162
0.207 0.276 0.662
0.297 0.582 0.091
0.297 0.918 0.591
0.324 0.610 0.507
0.324 0.890 0.007
0.432 0.647 0.716
0.432 0.853 0.216
0.462 0.183 0.403
0.462 0.317 0.903
0.538 0.683 0.097
0.538 0.817 0.597
0.568 0.147 0.784
0.568 0.353 0.284
0.676 0.110 0.993
0.676 0.390 0.493
0.703 0.082 0.409
0.703 0.418 0.909
0.793 0.724 0.338
0.793 0.776 0.838
0.817 0.749 0.615
0.817 0.751 0.115
0.963 0.105 0.285
0.963 0.395 0.785
0.974 0.125 0.900
0.974 0.375 0.400
```

Top 10 peaks for 15 to 90 degrees two-theta, in order of falling intensity:
31.2°, I = 100; 28.9°, I = 84; 28.1°, I = 81; 27.9°, I = 53; 22.4°, I = 47; 18.6°, I = 27; 38.9°, I = 25; 19.2°, I = 24; 34.7°, I = 23; 44.8°, I = 22

=====

# 3
Theoretical powder XRD pattern of BP2Pb2O9 for Cu Kα, 1.54184 Å, from DFT lattice parameters and positions (PBE).
Intensities are scaled so that the largest is 100.

Structural model:
```
BP2Pb2O9
1.0
5.530 0.000 0.000
0.000 8.348 0.000
-5.015 0.000 16.147
B P Pb O
4 8 8 36
Direct
0.166 0.242 0.282
0.166 0.258 0.782
0.834 0.742 0.218
0.834 0.758 0.718
0.089 0.544 0.353
0.089 0.956 0.853
0.141 0.054 0.417
0.141 0.446 0.917
0.859 0.554 0.083
0.859 0.946 0.583
0.911 0.044 0.147
0.911 0.456 0.647
0.321 0.696 0.586
0.321 0.804 0.086
0.401 0.203 0.625
0.401 0.297 0.125
0.599 0.703 0.875
0.599 0.797 0.375
0.679 0.196 0.914
0.679 0.304 0.414
0.027 0.129 0.817
0.027 0.371 0.317
0.049 0.676 0.285
0.049 0.824 0.785
0.102 0.071 0.097
0.102 0.429 0.597
0.151 0.538 0.120
0.151 0.962 0.620
0.181 0.191 0.482
0.181 0.309 0.982
0.259 0.114 0.347
0.259 0.386 0.847
0.278 0.604 0.947
0.278 0.896 0.447
0.369 0.555 0.405
0.369 0.945 0.905
0.384 0.200 0.764
0.384 0.300 0.264
0.616 0.700 0.736
0.616 0.800 0.236
0.631 0.055 0.095
0.631 0.445 0.595
0.722 0.104 0.553
0.722 0.396 0.053
0.741 0.614 0.153
0.741 0.886 0.653
0.819 0.691 0.018
0.819 0.809 0.518
0.849 0.038 0.380
0.849 0.462 0.880
0.898 0.571 0.403
0.898 0.929 0.903
0.951 0.176 0.215
0.951 0.324 0.715
0.973 0.629 0.683
0.973 0.871 0.183
```

Top 10 peaks for 15 to 90 degrees two-theta, in order of falling intensity:
22.0°, I = 100; 26.8°, I = 67; 31.9°, I = 64; 23.4°, I = 56; 21.3°, I = 52; 32.4°, I = 51; 27.2°, I = 45; 22.7°, I = 41; 31.3°, I = 40; 27.4°, I = 34

=====

# 4
Theoretical powder XRD pattern of YBP2O8 for Cu Kα, 1.54184 Å, from DFT lattice parameters and positions (PBE).
Intensities are scaled so that the largest is 100.

Structural model:
```
YBP2O8
1.0
4.866 0.000 0.000
-2.433 4.214 0.000
0.000 0.000 6.160
Y B P O
1 1 2 8
Direct
0.000 0.000 0.000
0.000 0.000 0.500
0.333 0.667 0.259
0.667 0.333 0.741
0.158 0.316 0.329
0.158 0.842 0.329
0.316 0.158 0.671
0.333 0.667 0.009
0.667 0.333 0.991
0.684 0.842 0.329
0.842 0.158 0.671
0.842 0.684 0.671
```

Top 10 peaks for 15 to 90 degrees two-theta, in order of falling intensity:
25.6°, I = 100; 39.8°, I = 52; 36.9°, I = 51; 21.1°, I = 49; 36.1°, I = 45; 52.6°, I = 31; 60.0°, I = 24; 45.5°, I = 19; 44.1°, I = 19; 72.7°, I = 19

=====

# 5
Theoretical powder XRD pattern of PaB4O8 for Cu Kα, 1.54184 Å, from DFT lattice parameters and positions (PBE).
Intensities are scaled so that the largest is 100.

Structural model:
```
PaB4O8
1.0
4.430 0.000 0.000
-2.215 3.837 0.000
0.000 0.000 7.532
Pa B O
1 4 8
Direct
0.000 0.000 0.000
0.333 0.667 0.225
0.333 0.667 0.775
0.667 0.333 0.225
0.667 0.333 0.775
0.000 0.368 0.735
0.000 0.632 0.265
0.333 0.667 0.000
0.368 0.000 0.735
0.368 0.368 0.265
0.632 0.000 0.265
0.632 0.632 0.735
0.667 0.333 0.000
```

Top 10 peaks for 15 to 90 degrees two-theta, in order of falling intensity:
26.1°, I = 100; 33.3°, I = 71; 42.5°, I = 50; 23.2°, I = 48; 47.6°, I = 35; 43.1°, I = 29; 40.7°, I = 22; 49.0°, I = 19; 55.3°, I = 18; 65.6°, I = 17

=====

# 6
Theoretical powder XRD pattern of PuPa2BO8 for Cu Kα, 1.54184 Å, from DFT lattice parameters and positions (PBE).
Intensities are scaled so that the largest is 100.

Structural model:
```
PuPa2BO8
1.0
4.991 0.000 0.000
-2.495 4.322 0.000
0.000 0.000 6.396
Pu Pa B O
1 2 1 8
Direct
0.000 0.000 0.000
0.333 0.667 0.358
0.667 0.333 0.642
0.000 0.000 0.500
0.158 0.316 0.658
0.158 0.842 0.658
0.316 0.158 0.342
0.333 0.667 0.055
0.667 0.333 0.945
0.684 0.842 0.658
0.842 0.158 0.342
0.842 0.684 0.342
```

Top 10 peaks for 15 to 90 degrees two-theta, in order of falling intensity:
24.9°, I = 100; 36.0°, I = 48; 34.9°, I = 40; 44.2°, I = 32; 58.3°, I = 21; 56.8°, I = 21; 51.0°, I = 21; 64.0°, I = 15; 42.4°, I = 12; 61.9°, I = 9

=====

# 7
Theoretical powder XRD pattern of PaSnBO5 for Cu Kα, 1.54184 Å, from DFT lattice parameters and positions (PBE).
Intensities are scaled so that the largest is 100.

Structural model:
```
PaSnBO5
1.0
3.617 -4.463 0.000
3.617 4.463 0.000
-3.293 0.000 7.218
Pa Sn B O
2 2 2 10
Direct
0.000 0.000 0.000
0.000 0.000 0.500
0.370 0.630 0.750
0.630 0.370 0.250
0.314 0.686 0.250
0.686 0.314 0.750
0.081 0.919 0.750
0.150 0.712 0.368
0.252 0.410 0.128
0.288 0.850 0.132
0.410 0.252 0.628
0.590 0.748 0.372
0.712 0.150 0.868
0.748 0.590 0.872
0.850 0.288 0.632
0.919 0.081 0.250
```

Top 10 peaks for 15 to 90 degrees two-theta, in order of falling intensity:
24.8°, I = 100; 27.1°, I = 54; 16.7°, I = 49; 33.0°, I = 44; 19.9°, I = 33; 31.9°, I = 31; 34.4°, I = 29; 39.5°, I = 26; 50.0°, I = 21; 47.9°, I = 20